Structure and calculated powder diffraction line list of LiHgRh (a structure optimized by DFT (GGA-PBE); copper Kα).
Intensities are scaled so that the largest is 1000.

The 10 most intense peaks (2θ = 15–90°), low angle first:
- 2θ = 26.09°, I 252, (0 0 2)
- 2θ = 35.73°, I 265, (1 0 0)
- 2θ = 38.16°, I 1000, (1 0 1)
- 2θ = 39.59°, I 220, (0 0 3)
- 2θ = 44.78°, I 581, (0 1 2)
- 2θ = 54.38°, I 169, (1 0 3)
- 2θ = 64.20°, I 164, (1 1 0)
- 2θ = 66.17°, I 215, (1 0 4)
- 2θ = 77.20°, I 131, (0 2 1)
- 2θ = 78.12°, I 184, (1 1 3)

Structure:
Unit cell a=2.901 b=2.901 c=6.830 alpha=90.00 beta=90.00 gamma=120.00
Positions (direct):
Li  0.000  0.000  0.000
Hg  0.333  0.667  0.644
Rh  0.667  0.333  0.294